Structure and theoretical powder X-ray diffraction pattern of CeFeS (a DFT-relaxed cell (PBE, Alexandria); Cu Kα, 1.54184 Å).
Intensities are scaled so that the largest is 1000.

Peak list (8 most intense, 10 to 90 degrees two-theta, sorted by position)
| index | two_theta | I/Imax |
| --- | --- | --- |
| 1 1 1 | 28.6 | 1000 |
| 2 1 0 | 29.2 | 500 |
| 3 0 1 | 31.3 | 959 |
| 1 1 2 | 38.7 | 285 |
| 2 1 2 | 42.1 | 500 |
| 0 2 0 | 46.2 | 299 |
| 5 1 1 | 54.8 | 244 |
| 3 2 1 | 56.9 | 341 |

Crystal structure
a = 9.7404 Å, b = 3.9279 Å, c = 6.0370 Å
α = 90.00°, β = 90.00°, γ = 90.00°
Space group Pnma (No. 62)
Symmetry-distinct sites (fractional):
Ce 0.1768 0.2500 0.0442 x4
Fe 0.0382 0.2500 0.5970 x4
S 0.0739 0.7500 0.7513 x4

***

Structure and theoretical powder X-ray diffraction pattern of Ce3Tl4FeS8 (a DFT-relaxed cell (PBE, Alexandria); Cu Kα, 1.54184 Å).
Intensities are scaled so that the largest is 1000.

Peak list (8 most intense, 10 to 90 degrees two-theta, sorted by position)
| index | two_theta | I/Imax |
| --- | --- | --- |
| 0 0 2 | 23.8 | 289 |
| 2 2 0 | 26.6 | 596 |
| 2 2 -2 | 30.1 | 1000 |
| 4 0 -4 | 41.2 | 381 |
| 0 4 0 | 44.8 | 339 |
| 4 0 2 | 48.1 | 163 |
| 6 2 0 | 51.3 | 234 |
| 8 0 -4 | 54.9 | 179 |

Crystal structure
a = 14.0028 Å, b = 8.1068 Å, c = 8.8246 Å
α = 90.00°, β = 121.97°, γ = 90.00°
Space group C2/m (No. 12)
Symmetry-distinct sites (fractional):
Ce 0.0000 0.0000 0.0000 x2
Ce 0.2500 0.2500 0.0000 x4
Tl 0.0000 0.0000 0.5000 x2
Tl 0.0000 0.5000 0.5000 x2
Tl 0.2500 0.2500 0.5000 x4
Fe 0.0000 0.5000 0.0000 x2
S 0.0150 0.2607 0.8058 x8
S 0.2205 0.5000 0.1911 x4
S 0.2354 0.0000 0.2057 x4

***

Structure and theoretical powder X-ray diffraction pattern of Ce2Fe5Si3 (a DFT-relaxed cell (PBE, Alexandria); Cu Kα, 1.54184 Å).
Intensities are scaled so that the largest is 1000.

Peak list (8 most intense, 10 to 90 degrees two-theta, sorted by position)
| index | two_theta | I/Imax |
| --- | --- | --- |
| 1 3 0 | 24.8 | 236 |
| 0 6 2 | 37.3 | 353 |
| 1 7 1 | 37.5 | 582 |
| 1 3 2 | 39.0 | 1000 |
| 0 10 1 | 40.3 | 269 |
| 1 9 0 | 40.5 | 366 |
| 2 0 0 | 45.2 | 354 |
| 1 13 3 | 73.4 | 173 |

Crystal structure
a = 4.0094 Å, b = 24.0885 Å, c = 6.0379 Å
α = 90.00°, β = 90.00°, γ = 90.00°
Space group Cmc2_1 (No. 36)
Symmetry-distinct sites (fractional):
Ce 0.0000 0.0120 0.0000 x4
Ce 0.0000 0.3205 0.9885 x4
Fe 0.0000 0.1070 0.6502 x4
Fe 0.0000 0.2055 0.7748 x4
Fe 0.0000 0.2103 0.1753 x4
Fe 0.0000 0.3697 0.4958 x4
Fe 0.0000 0.4366 0.8108 x4
Si 0.0000 0.1153 0.2354 x4
Si 0.0000 0.2729 0.4797 x4
Si 0.0000 0.4365 0.2077 x4

***

Which formula does entry 3 have? Ce2Fe5Si3